Structure and computed powder diffraction line list of TiSb3 (a structure optimized by DFT (PBE); Cu Kα (λ = 1.5418 Å)).
Kinematic intensities with the Lorentz-polarization factor, no thermal factor.

Peak list (10 most intense, 2θ = 10–90°, in order of rising 2θ)
18.05°, rel. 4; 22.07°, rel. 9; 34.02°, rel. 100; 36.57°, rel. 20; 40.88°, rel. 29; 56.00°, rel. 22; 59.19°, rel. 9; 64.21°, rel. 15; 70.06°, rel. 23; 71.62°, rel. 11

Crystal structure
Cell lengths 4.415, 4.415, 9.829 Å; angles 90.00, 90.00, 90.00 degrees
Space group I4/mmm (No. 139)
Inequivalent atoms, fractional coordinates:
Ti 0.000 0.000 0.000 (multiplicity 2)
Sb 0.000 0.000 0.500 (multiplicity 2)
Sb 0.000 0.500 0.250 (multiplicity 4)


Structure and computed powder diffraction line list of LuMn5 (a structure optimized by DFT (PBE); Cu Kα (λ = 1.5418 Å)).
Kinematic intensities with the Lorentz-polarization factor, no thermal factor.

Peak list (10 most intense, 2θ = 10–90°, in order of rising 2θ)
23.98°, rel. 57; 37.11°, rel. 52; 40.22°, rel. 90; 43.12°, rel. 13; 43.75°, rel. 100; 44.67°, rel. 66; 68.99°, rel. 32; 71.50°, rel. 22; 74.89°, rel. 25; 79.06°, rel. 20

Crystal structure
Cell lengths 4.8450, 4.8450, 7.9578 Å; angles 90.00, 90.00, 120.00 degrees
Space group P6_3mc (No. 186)
Inequivalent atoms, fractional coordinates:
Lu 0.3333 0.6667 0.0000 (multiplicity 2)
Mn 0.0000 0.0000 0.4449 (multiplicity 2)
Mn 0.1713 0.3425 0.6913 (multiplicity 6)
Mn 0.3333 0.6667 0.3712 (multiplicity 2)


Structure and computed powder diffraction line list of LaCoSi3 (a structure optimized by DFT (PBE); Cu Kα (λ = 1.5418 Å)).
Kinematic intensities with the Lorentz-polarization factor, no thermal factor.

Peak list (10 most intense, 2θ = 10–90°, in order of rising 2θ)
23.20°, rel. 55; 30.29°, rel. 56; 35.10°, rel. 100; 35.61°, rel. 89; 43.37°, rel. 57; 51.96°, rel. 22; 56.97°, rel. 50; 63.01°, rel. 18; 65.85°, rel. 20; 74.52°, rel. 20

Crystal structure
Cell lengths 4.173, 4.173, 9.705 Å; angles 90.00, 90.00, 90.00 degrees
Space group I4mm (No. 107)
Inequivalent atoms, fractional coordinates:
La 0.000 0.000 0.000 (multiplicity 2)
Co 0.000 0.000 0.658 (multiplicity 2)
Si 0.000 0.000 0.422 (multiplicity 2)
Si 0.000 0.500 0.257 (multiplicity 4)


Structure and computed powder diffraction line list of CeP2Pt4 (a structure optimized by DFT (PBE); Cu Kα (λ = 1.5418 Å)).
Kinematic intensities with the Lorentz-polarization factor, no thermal factor.

Peak list (10 most intense, 2θ = 10–90°, in order of rising 2θ)
32.75°, rel. 73; 33.65°, rel. 100; 34.28°, rel. 33; 36.70°, rel. 31; 37.97°, rel. 50; 40.46°, rel. 40; 42.89°, rel. 34; 43.08°, rel. 59; 57.86°, rel. 26; 60.58°, rel. 24

Crystal structure
Cell lengths 7.407, 4.200, 15.566 Å; angles 90.00, 90.00, 90.00 degrees
Space group Pnma (No. 62)
Inequivalent atoms, fractional coordinates:
Ce 0.147 0.250 0.182 (multiplicity 4)
P 0.190 0.250 0.809 (multiplicity 4)
P 0.214 0.250 0.556 (multiplicity 4)
Pt 0.020 0.250 0.682 (multiplicity 4)
Pt 0.028 0.250 0.942 (multiplicity 4)
Pt 0.127 0.750 0.503 (multiplicity 4)
Pt 0.238 0.250 0.376 (multiplicity 4)


Structure and computed powder diffraction line list of PmGaRh2 (a structure optimized by DFT (PBE); Cu Kα (λ = 1.5418 Å)).
Kinematic intensities with the Lorentz-polarization factor, no thermal factor.

Peak list (9 most intense, 2θ = 10–90°, in order of rising 2θ)
23.40°, rel. 7; 38.68°, rel. 100; 45.70°, rel. 4; 55.85°, rel. 17; 61.38°, rel. 2; 70.00°, rel. 34; 74.95°, rel. 1; 82.96°, rel. 11; 87.69°, rel. 1

Crystal structure
Cell lengths 6.584, 6.584, 6.584 Å; angles 90.00, 90.00, 90.00 degrees
Space group Fm-3m (No. 225)
Inequivalent atoms, fractional coordinates:
Pm 0.000 0.000 0.000 (multiplicity 4)
Ga 0.000 0.000 0.500 (multiplicity 4)
Rh 0.250 0.250 0.250 (multiplicity 8)


Structure and computed powder diffraction line list of LiTl3 (a structure optimized by DFT (PBE); Cu Kα (λ = 1.5418 Å)).
Kinematic intensities with the Lorentz-polarization factor, no thermal factor.

Peak list (10 most intense, 2θ = 10–90°, in order of rising 2θ)
18.54°, rel. 30; 26.34°, rel. 26; 32.41°, rel. 100; 37.60°, rel. 51; 42.23°, rel. 15; 46.49°, rel. 12; 54.22°, rel. 36; 64.60°, rel. 43; 67.85°, rel. 12; 89.22°, rel. 19

Crystal structure
Cell lengths 4.785, 4.785, 4.785 Å; angles 90.00, 90.00, 90.00 degrees
Space group Pm-3m (No. 221)
Inequivalent atoms, fractional coordinates:
Li 0.000 0.000 0.000 (multiplicity 1)
Tl 0.000 0.500 0.500 (multiplicity 3)


Structure and computed powder diffraction line list of RbErO3 (a structure optimized by DFT (PBE); Cu Kα (λ = 1.5418 Å)).
Kinematic intensities with the Lorentz-polarization factor, no thermal factor.

Peak list (10 most intense, 2θ = 10–90°, in order of rising 2θ)
19.75°, rel. 20; 28.08°, rel. 100; 40.13°, rel. 31; 45.11°, rel. 9; 49.69°, rel. 42; 58.05°, rel. 20; 61.94°, rel. 4; 65.70°, rel. 19; 72.91°, rel. 7; 79.86°, rel. 22

Crystal structure
Cell lengths 4.494, 4.494, 4.494 Å; angles 90.00, 90.00, 90.00 degrees
Space group Pm-3m (No. 221)
Inequivalent atoms, fractional coordinates:
Rb 0.000 0.000 0.000 (multiplicity 1)
Er 0.500 0.500 0.500 (multiplicity 1)
O 0.000 0.500 0.500 (multiplicity 3)


Structure and computed powder diffraction line list of TiF4 (a structure optimized by DFT (PBE); Cu Kα (λ = 1.5418 Å)).
Kinematic intensities with the Lorentz-polarization factor, no thermal factor.

Peak list (10 most intense, 2θ = 10–90°, in order of rising 2θ)
11.69°, rel. 54; 19.50°, rel. 22; 21.26°, rel. 100; 22.61°, rel. 59; 23.51°, rel. 25; 23.96°, rel. 84; 24.47°, rel. 31; 27.36°, rel. 31; 29.38°, rel. 24; 46.41°, rel. 47

Crystal structure
Cell lengths 23.598, 3.913, 9.867 Å; angles 90.00, 90.00, 90.00 degrees
Space group Pnma (No. 62)
Inequivalent atoms, fractional coordinates:
Ti 0.077 0.250 0.152 (multiplicity 4)
Ti 0.099 0.250 0.548 (multiplicity 4)
Ti 0.231 0.250 0.305 (multiplicity 4)
F 0.002 0.250 0.143 (multiplicity 4)
F 0.028 0.250 0.607 (multiplicity 4)
F 0.073 0.250 0.356 (multiplicity 4)
F 0.081 0.750 0.167 (multiplicity 4)
F 0.092 0.250 0.978 (multiplicity 4)
F 0.102 0.750 0.533 (multiplicity 4)
F 0.134 0.250 0.706 (multiplicity 4)
F 0.160 0.250 0.194 (multiplicity 4)
F 0.175 0.250 0.455 (multiplicity 4)
F 0.212 0.750 0.923 (multiplicity 4)
F 0.224 0.750 0.307 (multiplicity 4)
F 0.230 0.750 0.652 (multiplicity 4)